Starting from a DFT-relaxed cell (GGA-PBE, Alexandria), the X-ray powder pattern of CdH6CBr3N3 was simulated for Cu Kα X-rays.
Lines closer than 0.1° are merged.

Structure:
Cell: 9.047 7.079 18.043 Å, 90.00 119.99 90.00°
Space group P2_1/c (No. 14)
Symmetry-distinct sites (fractional):
Cd (0.000, 0.025, 0.250) [4 per cell]
H (0.096, 0.241, 0.572) [4 per cell]
H (0.096, 0.245, 0.976) [4 per cell]
H (0.358, 0.226, 0.703) [4 per cell]
H (0.358, 0.245, 0.976) [4 per cell]
H (0.450, 0.726, 0.797) [4 per cell]
H (0.450, 0.741, 0.928) [4 per cell]
C (0.335, 0.241, 0.584) [4 per cell]
Br (0.140, 0.725, 0.679) [4 per cell]
Br (0.140, 0.725, 0.891) [4 per cell]
Br (0.281, 0.225, 0.821) [4 per cell]
N (0.164, 0.247, 0.541) [4 per cell]
N (0.420, 0.227, 0.669) [4 per cell]
N (0.420, 0.247, 0.541) [4 per cell]

Top 12 peaks for 2θ from 10° to 90°, in order of rising 2θ:
hkl 1 0 0, 11.31 deg, I = 100
hkl 0 2 0, 25.16 deg, I = 7
hkl 0 1 4, 26.02 deg, I = 44
hkl 2 2 -2, 32.13 deg, I = 12
hkl 3 1 -4, 32.82 deg, I = 14
hkl 0 2 4, 34.16 deg, I = 20
hkl 3 1 0, 36.72 deg, I = 5
hkl 1 2 4, 39.72 deg, I = 17
hkl 2 0 4, 39.88 deg, I = 8
hkl 3 2 0, 43.08 deg, I = 11
hkl 0 3 4, 44.86 deg, I = 8
hkl 5 0 -4, 50.83 deg, I = 9